Entry 1:
# Pm3Cu2Sn4
Calculated powder diffraction line list, Cu Kα X-rays. Input: the GGA-PBE geometry in Alexandria.
Neutral-atom scattering factors, no anomalous dispersion.

```
Pm3Cu2Sn4
1.0
5.729 -2.285 0.000
5.729 2.285 0.000
-2.464 0.000 8.460
Pm Cu Sn
3 2 4
Direct
0.000 0.000 0.000
0.369 0.369 0.311
0.631 0.631 0.689
0.304 0.304 0.621
0.696 0.696 0.379
0.082 0.082 0.389
0.295 0.295 0.920
0.705 0.705 0.080
0.918 0.918 0.611
```

The 6 most intense peaks (2θ = 5–70°), by intensity:
2θ = 31.3°, I = 100; 2θ = 31.5°, I = 53; 2θ = 30.7°, I = 50; 2θ = 39.7°, I = 46; 2θ = 39.4°, I = 42; 2θ = 31.7°, I = 27

=====

Entry 2:
# PmCu6Sn12
Calculated powder diffraction line list, Cu Kα X-rays. Input: the GGA-PBE geometry in Alexandria.
Neutral-atom scattering factors, no anomalous dispersion.

```
PmCu6Sn12
1.0
-4.775 4.775 4.775
4.775 -4.775 4.775
4.775 4.775 -4.775
Pm Cu Sn
1 6 12
Direct
0.000 0.000 0.000
0.129 0.500 0.629
0.371 0.871 0.500
0.500 0.371 0.871
0.500 0.629 0.129
0.629 0.129 0.500
0.871 0.500 0.371
0.116 0.297 0.819
0.181 0.478 0.297
0.181 0.884 0.703
0.297 0.181 0.478
0.297 0.819 0.116
0.478 0.297 0.181
0.522 0.703 0.819
0.703 0.181 0.884
0.703 0.819 0.522
0.819 0.116 0.297
0.819 0.522 0.703
0.884 0.703 0.181
```

The 6 most intense peaks (2θ = 5–70°), by intensity:
2θ = 35.2°, I = 100; 2θ = 32.5°, I = 31; 2θ = 59.7°, I = 29; 2θ = 56.2°, I = 26; 2θ = 29.6°, I = 24; 2θ = 48.6°, I = 18

=====

Entry 3:
# Pm4Cu3Sn
Calculated powder diffraction line list, Cu Kα X-rays. Input: the GGA-PBE geometry in Alexandria.
Neutral-atom scattering factors, no anomalous dispersion.

```
Pm4Cu3Sn
1.0
4.095 0.000 0.000
0.000 4.485 0.000
0.000 0.000 10.901
Pm Cu Sn
4 3 1
Direct
0.000 0.000 0.000
0.000 0.500 0.270
0.500 0.000 0.471
0.500 0.500 0.786
0.000 0.500 0.550
0.500 0.000 0.195
0.500 0.500 0.070
0.000 0.000 0.702
```

The 6 most intense peaks (2θ = 5–70°), by intensity:
2θ = 30.7°, I = 100; 2θ = 38.7°, I = 67; 2θ = 32.9°, I = 59; 2θ = 52.9°, I = 31; 2θ = 40.2°, I = 27; 2θ = 44.2°, I = 21

=====

Entry 4:
# Pm5CuSn4
Calculated powder diffraction line list, Cu Kα X-rays. Input: the GGA-PBE geometry in Alexandria.
Neutral-atom scattering factors, no anomalous dispersion.

```
Pm5CuSn4
1.0
-4.947 4.947 3.163
4.947 -4.947 3.163
4.947 4.947 -3.163
Pm Cu Sn
5 1 4
Direct
0.000 0.000 0.000
0.310 0.511 0.608
0.511 0.903 0.201
0.702 0.310 0.799
0.903 0.702 0.392
0.490 0.490 0.000
0.013 0.404 0.196
0.209 0.818 0.804
0.404 0.209 0.391
0.818 0.013 0.609
```

The 6 most intense peaks (2θ = 5–70°), by intensity:
2θ = 28.5°, I = 100; 2θ = 40.6°, I = 66; 2θ = 28.2°, I = 39; 2θ = 40.8°, I = 38; 2θ = 50.3°, I = 34; 2θ = 66.9°, I = 18